1.
Starting from DFT lattice parameters and positions (GGA-PBE), the powder diffractogram of NaP2H5O6 was calculated for Cu Kα X-rays.
Peak positions follow from Bragg's law for the DFT cell and can differ from measured ones.

Cell and atoms:
```
NaP2H5O6
1.0
5.1625 -2.9722 0.0000
5.1625 2.9722 0.0000
-0.1151 0.0000 9.8491
Na P H O
2 4 10 12
direct
0.0211 0.9789 0.5000 Na
0.9789 0.0211 0.0000 Na
0.3258 0.3294 0.9042 P
0.3294 0.3258 0.4042 P
0.6595 0.6662 0.1040 P
0.6662 0.6595 0.6040 P
0.3185 0.6512 0.7767 H
0.3262 0.3413 0.0464 H
0.3382 0.9826 0.2408 H
0.3413 0.3262 0.5464 H
0.6512 0.3185 0.2767 H
0.6582 0.6791 0.9623 H
0.6740 0.9762 0.7381 H
0.6791 0.6582 0.4623 H
0.9762 0.6740 0.2381 H
0.9826 0.3382 0.7408 H
0.1110 0.2725 0.8624 O
0.1323 0.5995 0.3574 O
0.2503 0.6180 0.8665 O
0.2725 0.1110 0.3624 O
0.3781 0.8824 0.1427 O
0.3956 0.7314 0.6486 O
0.5995 0.1323 0.8574 O
0.6180 0.2503 0.3665 O
0.7314 0.3956 0.1486 O
0.7511 0.8604 0.6483 O
0.8604 0.7511 0.1483 O
0.8824 0.3781 0.6427 O
```

Top 10 peaks for 10 to 80 degrees two-theta, in order of falling intensity:
| two_theta | intensity |
| --- | --- |
| 25.1 | 100 |
| 24.9 | 85 |
| 30.0 | 22 |
| 36.5 | 17 |
| 31.5 | 16 |
| 51.2 | 15 |
| 40.7 | 11 |
| 35.1 | 10 |
| 35.4 | 9 |
| 35.3 | 9 |


2.
Starting from DFT lattice parameters and positions (GGA-PBE), the powder diffractogram of Na2PH3O5 was calculated for Cu Kα X-rays.
Peak positions follow from Bragg's law for the DFT cell and can differ from measured ones.

Cell and atoms:
```
Na2PH3O5
1.0
5.7132 0.0000 0.0000
-1.0902 5.6705 0.0000
-2.6415 -2.4961 7.1715
Na P H O
4 2 6 10
direct
0.0038 0.1557 0.2130 Na
0.2415 0.7808 0.4304 Na
0.7585 0.2192 0.5696 Na
0.9962 0.8443 0.7870 Na
0.3672 0.4182 0.7073 P
0.6328 0.5818 0.2927 P
0.2524 0.3775 0.9444 H
0.3052 0.7885 0.1207 H
0.4391 0.0788 0.1663 H
0.5609 0.9212 0.8337 H
0.6948 0.2115 0.8793 H
0.7476 0.6225 0.0556 H
0.1980 0.2847 0.8059 O
0.2703 0.9458 0.1044 O
0.2844 0.6519 0.6892 O
0.2997 0.2163 0.5218 O
0.3406 0.5160 0.1657 O
0.6594 0.4840 0.8343 O
0.7003 0.7837 0.4782 O
0.7156 0.3481 0.3108 O
0.7297 0.0542 0.8956 O
0.8020 0.7153 0.1941 O
```

Top 10 peaks for 10 to 80 degrees two-theta, in order of falling intensity:
| two_theta | intensity |
| --- | --- |
| 24.9 | 100 |
| 31.6 | 99 |
| 33.9 | 88 |
| 20.1 | 79 |
| 24.9 | 77 |
| 24.3 | 77 |
| 38.9 | 72 |
| 35.7 | 69 |
| 31.1 | 68 |
| 34.8 | 62 |


3.
Starting from DFT lattice parameters and positions (GGA-PBE), the powder diffractogram of Na2P3HO9 was calculated for Cu Kα X-rays.
Peak positions follow from Bragg's law for the DFT cell and can differ from measured ones.

Cell and atoms:
```
Na2P3HO9
1.0
6.7654 0.0000 0.0000
0.0144 7.2490 0.0000
1.6821 0.4197 7.6831
Na P H O
4 6 2 18
direct
0.0830 0.1435 0.1542 Na
0.4121 0.8458 0.8548 Na
0.5879 0.1542 0.1452 Na
0.9170 0.8565 0.8458 Na
0.0416 0.6642 0.2246 P
0.2689 0.8609 0.4476 P
0.4016 0.3380 0.7760 P
0.5984 0.6620 0.2240 P
0.7311 0.1391 0.5524 P
0.9584 0.3358 0.7754 P
0.3080 0.4768 0.1888 H
0.6920 0.5232 0.8112 H
0.0894 0.8095 0.0796 O
0.0928 0.7256 0.4017 O
0.1455 0.4752 0.1870 O
0.1918 0.3886 0.7161 O
0.2171 0.8735 0.6402 O
0.2944 0.0291 0.3269 O
0.3728 0.1884 0.9181 O
0.4699 0.7328 0.4048 O
0.4914 0.5216 0.8058 O
0.5086 0.4784 0.1942 O
0.5301 0.2672 0.5952 O
0.6272 0.8116 0.0819 O
0.7056 0.9709 0.6731 O
0.7829 0.1265 0.3598 O
0.8082 0.6114 0.2839 O
0.8545 0.5248 0.8130 O
0.9072 0.2744 0.5983 O
0.9106 0.1905 0.9204 O
```

Top 10 peaks for 10 to 80 degrees two-theta, in order of falling intensity:
| two_theta | intensity |
| --- | --- |
| 31.7 | 100 |
| 17.3 | 71 |
| 26.6 | 57 |
| 29.6 | 41 |
| 26.9 | 38 |
| 27.8 | 35 |
| 23.2 | 30 |
| 22.7 | 27 |
| 37.1 | 24 |
| 16.4 | 21 |


4.
Starting from DFT lattice parameters and positions (GGA-PBE), the powder diffractogram of Na3P2H4O7 was calculated for Cu Kα X-rays.
Peak positions follow from Bragg's law for the DFT cell and can differ from measured ones.

Cell and atoms:
```
Na3P2H4O7
1.0
6.0681 0.0000 0.0000
-2.9079 5.5511 0.0000
-1.1821 -2.6263 11.1574
Na P H O
6 4 8 14
direct
0.0717 0.1737 0.3775 Na
0.2731 0.3057 0.0810 Na
0.3312 0.4850 0.6428 Na
0.6688 0.5150 0.3572 Na
0.7269 0.6943 0.9190 Na
0.9283 0.8263 0.6225 Na
0.3425 0.8359 0.4293 P
0.4046 0.9264 0.2515 P
0.5954 0.0736 0.7485 P
0.6575 0.1641 0.5707 P
0.0958 0.3645 0.8510 H
0.2193 0.8070 0.0155 H
0.2436 0.8984 0.8910 H
0.2648 0.2340 0.8237 H
0.7352 0.7660 0.1763 H
0.7564 0.1016 0.1090 H
0.7807 0.1930 0.9845 H
0.9042 0.6355 0.1490 H
0.0867 0.8207 0.4442 O
0.1779 0.9035 0.9659 O
0.2236 0.6863 0.1568 O
0.2738 0.3951 0.8562 O
0.3122 0.9865 0.7512 O
0.3387 0.1356 0.2516 O
0.3677 0.6073 0.4417 O
0.6323 0.3927 0.5583 O
0.6613 0.8644 0.7484 O
0.6878 0.0135 0.2488 O
0.7262 0.6049 0.1438 O
0.7764 0.3137 0.8432 O
0.8221 0.0965 0.0341 O
0.9133 0.1793 0.5558 O
```

Top 10 peaks for 10 to 80 degrees two-theta, in order of falling intensity:
| two_theta | intensity |
| --- | --- |
| 32.6 | 100 |
| 28.8 | 66 |
| 36.6 | 41 |
| 29.9 | 37 |
| 16.8 | 33 |
| 16.4 | 30 |
| 25.5 | 30 |
| 31.9 | 30 |
| 17.1 | 28 |
| 33.2 | 21 |


5.
Starting from DFT lattice parameters and positions (GGA-PBE), the powder diffractogram of NaPH4SO8 was calculated for Cu Kα X-rays.
Peak positions follow from Bragg's law for the DFT cell and can differ from measured ones.

Cell and atoms:
```
NaPH4SO8
1.0
5.4899 0.0000 0.0000
0.0000 6.8374 0.0000
-0.7559 0.0000 9.0926
Na P H S O
2 2 8 2 16
direct
0.0135 0.0000 0.4344 Na
0.9865 0.5000 0.5656 Na
0.1127 0.2729 0.8765 P
0.8873 0.7729 0.1235 P
0.0847 0.6541 0.9348 H
0.1690 0.5865 0.2534 H
0.4190 0.0654 0.8472 H
0.4316 0.5503 0.7815 H
0.5684 0.0503 0.2185 H
0.5810 0.5654 0.1528 H
0.8310 0.0865 0.7466 H
0.9153 0.1541 0.0652 H
0.4614 0.2877 0.3589 S
0.5386 0.7877 0.6411 S
0.0285 0.6800 0.2650 O
0.0492 0.7784 0.9916 O
0.1736 0.4822 0.8354 O
0.2766 0.2811 0.4653 O
0.2849 0.7862 0.5783 O
0.3435 0.1486 0.9233 O
0.4120 0.4548 0.2557 O
0.4167 0.0928 0.2687 O
0.5833 0.5928 0.7313 O
0.5880 0.9548 0.7443 O
0.6565 0.6486 0.0767 O
0.7151 0.2862 0.4217 O
0.7234 0.7811 0.5347 O
0.8264 0.9822 0.1646 O
0.9508 0.2784 0.0084 O
0.9715 0.1800 0.7350 O
```

Top 10 peaks for 10 to 80 degrees two-theta, in order of falling intensity:
| two_theta | intensity |
| --- | --- |
| 23.5 | 100 |
| 22.4 | 64 |
| 32.8 | 37 |
| 26.5 | 26 |
| 20.8 | 19 |
| 32.6 | 15 |
| 32.0 | 14 |
| 19.6 | 14 |
| 37.5 | 12 |
| 26.1 | 11 |